Entry 1:
The following is a theoretical X-ray powder pattern of TmCd6. It was derived from a DFT-relaxed cell (GGA-PBE, Alexandria), using Cu Kα.
Intensities are scaled so that the largest is 100.

Most intense lines, 10° ≤ 2θ ≤ 90°, in order of falling intensity:
d (Å)	Position (°2θ)	I (rel.)
2.864	31.23	100
2.490	36.07	68
2.326	38.71	53
2.587	34.67	46
1.468	63.36	34
2.131	42.41	30
3.127	28.54	27
1.289	73.44	22
2.025	44.76	19
3.068	29.11	18

Structure:
```
data_TmCd6
_cell_length_a 6.028
_cell_length_b 6.028
_cell_length_c 9.204
_cell_angle_alpha 90.00
_cell_angle_beta 90.00
_cell_angle_gamma 90.00
_symmetry_space_group_name_H-M 'P 1'
_symmetry_Int_Tables_number 1
loop_
_symmetry_equiv_pos_as_xyz
'x,y,z'
loop_
_atom_site_label
_atom_site_fract_x
_atom_site_fract_y
_atom_site_fract_z
Tm1 0.250 0.750 0.000
Tm2 0.750 0.250 0.000
Cd1 0.076 0.576 0.358
Cd2 0.076 0.924 0.642
Cd3 0.250 0.250 0.150
Cd4 0.250 0.250 0.850
Cd5 0.424 0.576 0.642
Cd6 0.424 0.924 0.358
Cd7 0.576 0.076 0.642
Cd8 0.576 0.424 0.358
Cd9 0.750 0.750 0.150
Cd10 0.750 0.750 0.850
Cd11 0.924 0.076 0.358
Cd12 0.924 0.424 0.642
```

Entry 2:
The following is a theoretical X-ray powder pattern of Tm5Cd2. It was derived from a DFT-relaxed cell (GGA-PBE, Alexandria), using Cu Kα.
Intensities are scaled so that the largest is 100.

Most intense lines, 10° ≤ 2θ ≤ 90°, in order of falling intensity:
d (Å)	Position (°2θ)	I (rel.)
2.577	34.82	100
2.688	33.33	79
2.480	36.22	79
2.917	30.65	52
3.013	29.65	49
1.678	54.71	35
1.431	65.20	32
2.403	37.42	25
1.691	54.24	25
2.977	30.02	24

Structure:
```
data_Tm5Cd2
_cell_length_a 8.752
_cell_length_b 8.752
_cell_length_c 6.764
_cell_angle_alpha 90.00
_cell_angle_beta 90.00
_cell_angle_gamma 130.75
_symmetry_space_group_name_H-M 'P 1'
_symmetry_Int_Tables_number 1
loop_
_symmetry_equiv_pos_as_xyz
'x,y,z'
loop_
_atom_site_label
_atom_site_fract_x
_atom_site_fract_y
_atom_site_fract_z
Tm1 0.000 0.000 0.250
Tm2 0.000 0.000 0.750
Tm3 0.229 0.771 0.250
Tm4 0.229 0.771 0.750
Tm5 0.247 0.437 0.000
Tm6 0.437 0.247 0.500
Tm7 0.563 0.753 0.500
Tm8 0.753 0.563 0.000
Tm9 0.771 0.229 0.250
Tm10 0.771 0.229 0.750
Cd1 0.143 0.372 0.500
Cd2 0.372 0.143 0.000
Cd3 0.628 0.857 0.000
Cd4 0.857 0.628 0.500
```

Entry 3:
The following is a theoretical X-ray powder pattern of TmCd11. It was derived from a DFT-relaxed cell (GGA-PBE, Alexandria), using Cu Kα.
Intensities are scaled so that the largest is 100.

Most intense lines, 10° ≤ 2θ ≤ 90°, in order of falling intensity:
d (Å)	Position (°2θ)	I (rel.)
2.700	33.18	100
2.287	39.39	70
2.678	33.46	57
3.050	29.28	32
1.550	59.63	30
2.511	35.77	27
2.199	41.05	25
2.315	38.90	21
1.339	70.30	15
1.563	59.09	11

Structure:
```
data_TmCd11
_cell_length_a 9.303
_cell_length_b 9.303
_cell_length_c 9.303
_cell_angle_alpha 99.87
_cell_angle_beta 99.87
_cell_angle_gamma 131.09
_symmetry_space_group_name_H-M 'P 1'
_symmetry_Int_Tables_number 1
loop_
_symmetry_equiv_pos_as_xyz
'x,y,z'
loop_
_atom_site_label
_atom_site_fract_x
_atom_site_fract_y
_atom_site_fract_z
Tm1 0.375 0.625 0.750
Tm2 0.625 0.375 0.250
Cd1 0.000 0.000 0.000
Cd2 0.000 0.000 0.500
Cd3 0.000 0.500 0.000
Cd4 0.115 0.547 0.328
Cd5 0.115 0.787 0.568
Cd6 0.125 0.875 0.250
Cd7 0.213 0.281 0.328
Cd8 0.213 0.885 0.932
Cd9 0.281 0.213 0.828
Cd10 0.281 0.453 0.068
Cd11 0.453 0.281 0.568
Cd12 0.453 0.885 0.172
Cd13 0.500 0.000 0.500
Cd14 0.547 0.115 0.828
Cd15 0.547 0.719 0.432
Cd16 0.719 0.547 0.932
Cd17 0.719 0.787 0.172
Cd18 0.787 0.115 0.068
Cd19 0.787 0.719 0.672
Cd20 0.875 0.125 0.750
Cd21 0.885 0.213 0.432
Cd22 0.885 0.453 0.672
```

Entry 4:
The following is a theoretical X-ray powder pattern of Tm6Cd5. It was derived from a DFT-relaxed cell (GGA-PBE, Alexandria), using Cu Kα.
Intensities are scaled so that the largest is 100.

Most intense lines, 10° ≤ 2θ ≤ 90°, in order of falling intensity:
d (Å)	Position (°2θ)	I (rel.)
2.599	34.52	100
2.567	34.96	24
2.557	35.09	24
1.507	61.51	18
1.488	62.41	18
1.812	50.37	17
1.484	62.58	17
1.299	72.79	11
1.864	48.85	9
3.623	24.57	9

Structure:
```
data_Tm6Cd5
_cell_length_a 8.090
_cell_length_b 8.090
_cell_length_c 7.457
_cell_angle_alpha 90.00
_cell_angle_beta 90.00
_cell_angle_gamma 143.00
_symmetry_space_group_name_H-M 'P 1'
_symmetry_Int_Tables_number 1
loop_
_symmetry_equiv_pos_as_xyz
'x,y,z'
loop_
_atom_site_label
_atom_site_fract_x
_atom_site_fract_y
_atom_site_fract_z
Tm1 0.000 0.000 0.242
Tm2 0.000 0.000 0.758
Tm3 0.339 0.661 0.245
Tm4 0.339 0.661 0.755
Tm5 0.661 0.339 0.245
Tm6 0.661 0.339 0.755
Cd1 0.169 0.831 0.500
Cd2 0.171 0.829 0.000
Cd3 0.500 0.500 0.500
Cd4 0.829 0.171 0.000
Cd5 0.831 0.169 0.500
```

Entry 5:
The following is a theoretical X-ray powder pattern of Tm2Cd13. It was derived from a DFT-relaxed cell (GGA-PBE, Alexandria), using Cu Kα.
Intensities are scaled so that the largest is 100.

Most intense lines, 10° ≤ 2θ ≤ 90°, in order of falling intensity:
d (Å)	Position (°2θ)	I (rel.)
2.562	35.03	100
2.718	32.96	60
1.901	47.84	53
2.636	34.01	47
1.385	67.64	30
2.599	34.51	29
2.065	43.85	21
1.972	46.03	20
1.445	64.47	17
3.244	27.50	16

Structure:
```
data_Tm2Cd13
_cell_length_a 8.277
_cell_length_b 8.277
_cell_length_c 8.277
_cell_angle_alpha 56.90
_cell_angle_beta 56.90
_cell_angle_gamma 56.90
_symmetry_space_group_name_H-M 'P 1'
_symmetry_Int_Tables_number 1
loop_
_symmetry_equiv_pos_as_xyz
'x,y,z'
loop_
_atom_site_label
_atom_site_fract_x
_atom_site_fract_y
_atom_site_fract_z
Tm1 0.154 0.154 0.154
Tm2 0.846 0.846 0.846
Cd1 0.000 0.000 0.000
Cd2 0.150 0.150 0.538
Cd3 0.150 0.538 0.150
Cd4 0.311 0.311 0.679
Cd5 0.311 0.679 0.311
Cd6 0.321 0.689 0.689
Cd7 0.462 0.850 0.850
Cd8 0.538 0.150 0.150
Cd9 0.679 0.311 0.311
Cd10 0.689 0.321 0.689
Cd11 0.689 0.689 0.321
Cd12 0.850 0.462 0.850
Cd13 0.850 0.850 0.462
```

Entry 6:
The following is a theoretical X-ray powder pattern of Tm3Cd. It was derived from a DFT-relaxed cell (GGA-PBE, Alexandria), using Cu Kα.
Intensities are scaled so that the largest is 100.

Most intense lines, 10° ≤ 2θ ≤ 90°, in order of falling intensity:
d (Å)	Position (°2θ)	I (rel.)
2.762	32.41	100
2.392	37.60	50
1.443	64.60	41
1.692	54.22	35
1.098	89.23	18
1.381	67.86	12
1.196	80.26	6
4.785	18.54	2
3.383	26.34	2
2.140	42.24	1

Structure:
```
data_Tm3Cd
_cell_length_a 4.785
_cell_length_b 4.785
_cell_length_c 4.785
_cell_angle_alpha 90.00
_cell_angle_beta 90.00
_cell_angle_gamma 90.00
_symmetry_space_group_name_H-M 'P 1'
_symmetry_Int_Tables_number 1
loop_
_symmetry_equiv_pos_as_xyz
'x,y,z'
loop_
_atom_site_label
_atom_site_fract_x
_atom_site_fract_y
_atom_site_fract_z
Tm1 0.000 0.000 0.500
Tm2 0.000 0.500 0.000
Tm3 0.500 0.000 0.000
Cd1 0.500 0.500 0.500
```

Entry 7:
The following is a theoretical X-ray powder pattern of Tm2Cd17. It was derived from a DFT-relaxed cell (GGA-PBE, Alexandria), using Cu Kα.
Intensities are scaled so that the largest is 100.

Most intense lines, 10° ≤ 2θ ≤ 90°, in order of falling intensity:
d (Å)	Position (°2θ)	I (rel.)
2.503	35.88	100
2.238	40.29	32
1.445	64.49	24
2.469	36.39	22
2.889	30.95	19
2.838	31.52	14
1.251	76.07	14
1.583	58.30	10
1.770	51.65	8
1.438	64.83	7

Structure:
```
data_Tm2Cd17
_cell_length_a 7.646
_cell_length_b 7.646
_cell_length_c 7.646
_cell_angle_alpha 81.76
_cell_angle_beta 81.76
_cell_angle_gamma 81.76
_symmetry_space_group_name_H-M 'P 1'
_symmetry_Int_Tables_number 1
loop_
_symmetry_equiv_pos_as_xyz
'x,y,z'
loop_
_atom_site_label
_atom_site_fract_x
_atom_site_fract_y
_atom_site_fract_z
Tm1 0.172 0.172 0.172
Tm2 0.828 0.828 0.828
Cd1 0.000 0.500 0.500
Cd2 0.138 0.138 0.662
Cd3 0.138 0.662 0.138
Cd4 0.196 0.500 0.804
Cd5 0.196 0.804 0.500
Cd6 0.338 0.862 0.862
Cd7 0.398 0.398 0.398
Cd8 0.500 0.000 0.500
Cd9 0.500 0.196 0.804
Cd10 0.500 0.500 0.000
Cd11 0.500 0.804 0.196
Cd12 0.602 0.602 0.602
Cd13 0.662 0.138 0.138
Cd14 0.804 0.196 0.500
Cd15 0.804 0.500 0.196
Cd16 0.862 0.338 0.862
Cd17 0.862 0.862 0.338
```

Entry 8:
The following is a theoretical X-ray powder pattern of Y3Tm3Cd2. It was derived from a DFT-relaxed cell (GGA-PBE, Alexandria), using Cu Kα.
Intensities are scaled so that the largest is 100.

Most intense lines, 10° ≤ 2θ ≤ 90°, in order of falling intensity:
d (Å)	Position (°2θ)	I (rel.)
3.029	29.49	100
2.665	33.63	92
2.573	34.86	68
2.628	34.12	59
2.876	31.09	50
2.847	31.43	32
2.718	32.96	22
1.544	59.91	21
2.108	42.90	20
3.087	28.92	20

Structure:
```
data_Y3Tm3Cd2
_cell_length_a 6.334
_cell_length_b 6.334
_cell_length_c 15.842
_cell_angle_alpha 90.00
_cell_angle_beta 90.00
_cell_angle_gamma 132.05
_symmetry_space_group_name_H-M 'P 1'
_symmetry_Int_Tables_number 1
loop_
_symmetry_equiv_pos_as_xyz
'x,y,z'
loop_
_atom_site_label
_atom_site_fract_x
_atom_site_fract_y
_atom_site_fract_z
Y1 0.043 0.957 0.605
Y2 0.043 0.957 0.895
Y3 0.271 0.729 0.750
Y4 0.729 0.271 0.250
Y5 0.957 0.043 0.105
Y6 0.957 0.043 0.395
Tm1 0.355 0.645 0.534
Tm2 0.355 0.645 0.966
Tm3 0.445 0.555 0.250
Tm4 0.555 0.445 0.750
Tm5 0.645 0.355 0.034
Tm6 0.645 0.355 0.466
Cd1 0.231 0.769 0.133
Cd2 0.231 0.769 0.367
Cd3 0.769 0.231 0.633
Cd4 0.769 0.231 0.867
```

Entry 9:
The following is a theoretical X-ray powder pattern of YTmCd6. It was derived from a DFT-relaxed cell (GGA-PBE, Alexandria), using Cu Kα.
Intensities are scaled so that the largest is 100.

Most intense lines, 10° ≤ 2θ ≤ 90°, in order of falling intensity:
d (Å)	Position (°2θ)	I (rel.)
2.544	35.28	100
2.435	36.91	29
1.426	65.44	21
2.366	38.03	21
2.707	33.09	18
2.687	33.34	14
2.984	29.95	12
1.810	50.40	11
1.344	70.02	9
1.611	57.18	8

Structure:
```
data_YTmCd6
_cell_length_a 4.871
_cell_length_b 7.152
_cell_length_c 10.827
_cell_angle_alpha 90.00
_cell_angle_beta 90.00
_cell_angle_gamma 90.00
_symmetry_space_group_name_H-M 'P 1'
_symmetry_Int_Tables_number 1
loop_
_symmetry_equiv_pos_as_xyz
'x,y,z'
loop_
_atom_site_label
_atom_site_fract_x
_atom_site_fract_y
_atom_site_fract_z
Y1 0.000 0.000 0.000
Y2 0.000 0.500 0.500
Tm1 0.500 0.000 0.732
Tm2 0.500 0.500 0.232
Cd1 0.000 0.000 0.542
Cd2 0.000 0.218 0.271
Cd3 0.000 0.282 0.771
Cd4 0.000 0.500 0.042
Cd5 0.000 0.718 0.771
Cd6 0.000 0.782 0.271
Cd7 0.500 0.000 0.192
Cd8 0.500 0.216 0.460
Cd9 0.500 0.284 0.960
Cd10 0.500 0.500 0.692
Cd11 0.500 0.716 0.960
Cd12 0.500 0.784 0.460
```

Entry 10:
The following is a theoretical X-ray powder pattern of Y3TmCd. It was derived from a DFT-relaxed cell (GGA-PBE, Alexandria), using Cu Kα.
Intensities are scaled so that the largest is 100.

Most intense lines, 10° ≤ 2θ ≤ 90°, in order of falling intensity:
d (Å)	Position (°2θ)	I (rel.)
2.712	33.03	100
2.693	33.27	92
2.739	32.69	60
2.964	30.16	32
3.106	28.74	25
2.624	34.17	24
2.590	34.63	23
1.518	61.04	22
1.569	58.85	22
1.737	52.69	20

Structure:
```
data_Y3TmCd
_cell_length_a 14.932
_cell_length_b 14.932
_cell_length_c 5.480
_cell_angle_alpha 90.88
_cell_angle_beta 90.88
_cell_angle_gamma 14.03
_symmetry_space_group_name_H-M 'P 1'
_symmetry_Int_Tables_number 1
loop_
_symmetry_equiv_pos_as_xyz
'x,y,z'
loop_
_atom_site_label
_atom_site_fract_x
_atom_site_fract_y
_atom_site_fract_z
Y1 0.051 0.051 0.230
Y2 0.129 0.129 0.740
Y3 0.338 0.338 0.757
Y4 0.662 0.662 0.243
Y5 0.871 0.871 0.260
Y6 0.949 0.949 0.770
Tm1 0.267 0.267 0.251
Tm2 0.733 0.733 0.749
Cd1 0.461 0.461 0.273
Cd2 0.539 0.539 0.727
```

Entry 11:
The following is a theoretical X-ray powder pattern of Tm4ZnCd3. It was derived from a DFT-relaxed cell (GGA-PBE, Alexandria), using Cu Kα.
Intensities are scaled so that the largest is 100.

Most intense lines, 10° ≤ 2θ ≤ 90°, in order of falling intensity:
d (Å)	Position (°2θ)	I (rel.)
2.591	34.61	100
2.565	34.98	50
1.486	62.50	35
1.814	50.30	18
1.501	61.79	17
1.296	73.02	10
1.852	49.21	8
1.147	84.44	8
1.150	84.23	8
3.628	24.54	7

Structure:
```
data_Tm4ZnCd3
_cell_length_a 3.628
_cell_length_b 3.628
_cell_length_c 14.813
_cell_angle_alpha 90.00
_cell_angle_beta 90.00
_cell_angle_gamma 90.00
_symmetry_space_group_name_H-M 'P 1'
_symmetry_Int_Tables_number 1
loop_
_symmetry_equiv_pos_as_xyz
'x,y,z'
loop_
_atom_site_label
_atom_site_fract_x
_atom_site_fract_y
_atom_site_fract_z
Tm1 0.000 0.000 0.114
Tm2 0.000 0.000 0.372
Tm3 0.000 0.000 0.628
Tm4 0.000 0.000 0.886
Zn1 0.500 0.500 0.000
Cd1 0.500 0.500 0.244
Cd2 0.500 0.500 0.500
Cd3 0.500 0.500 0.756
```

Entry 12:
The following is a theoretical X-ray powder pattern of Tm5Zn4Cd. It was derived from a DFT-relaxed cell (GGA-PBE, Alexandria), using Cu Kα.
Intensities are scaled so that the largest is 100.

Most intense lines, 10° ≤ 2θ ≤ 90°, in order of falling intensity:
d (Å)	Position (°2θ)	I (rel.)
2.523	35.58	100
2.498	35.95	52
1.447	64.39	35
1.766	51.76	18
3.533	25.21	16
1.462	63.66	15
1.262	75.33	9
1.117	87.28	8
1.119	87.06	8
1.803	50.64	8

Structure:
```
data_Tm5Zn4Cd
_cell_length_a 3.533
_cell_length_b 3.533
_cell_length_c 18.027
_cell_angle_alpha 90.00
_cell_angle_beta 90.00
_cell_angle_gamma 90.00
_symmetry_space_group_name_H-M 'P 1'
_symmetry_Int_Tables_number 1
loop_
_symmetry_equiv_pos_as_xyz
'x,y,z'
loop_
_atom_site_label
_atom_site_fract_x
_atom_site_fract_y
_atom_site_fract_z
Tm1 0.000 0.000 0.000
Tm2 0.000 0.000 0.194
Tm3 0.000 0.000 0.387
Tm4 0.000 0.000 0.613
Tm5 0.000 0.000 0.806
Zn1 0.500 0.500 0.097
Zn2 0.500 0.500 0.292
Zn3 0.500 0.500 0.708
Zn4 0.500 0.500 0.903
Cd1 0.500 0.500 0.500
```